La3MnO7: theoretical powder X-ray diffraction pattern (copper Kα), based on the GGA+U geometry in Alexandria.
Neutral-atom scattering factors, no anomalous dispersion.

Structure:
a = 5.8173 Å, b = 5.2055 Å, c = 10.6332 Å
α = 90.00°, β = 105.43°, γ = 90.00°
Fractional positions:
La 0.0392 0.0000 0.1395
La 0.2496 0.9967 0.5068
La 0.4106 0.0041 0.8556
La 0.5894 0.5041 0.1444
La 0.7504 0.4967 0.4932
La 0.9608 0.5000 0.8605
Mn 0.1721 0.4988 0.3088
Mn 0.8279 0.9988 0.6912
O 0.0109 0.9991 0.8960
O 0.0551 0.7519 0.6666
O 0.0562 0.2441 0.6657
O 0.3315 0.4984 0.4843
O 0.3754 0.4892 0.9325
O 0.3761 0.7500 0.2728
O 0.3798 0.2536 0.2722
O 0.6202 0.7536 0.7278
O 0.6239 0.2500 0.7272
O 0.6246 0.9892 0.0675
O 0.6685 0.9984 0.5157
O 0.9438 0.7441 0.3343
O 0.9449 0.2519 0.3334
O 0.9891 0.4991 0.1040

Peak list (10 most intense, 2θ = 5–70°, sorted by position)
2theta, intensity, hkl
23.34, 100, 1 1 -1
26.08, 50, 0 0 3
30.74, 63, 2 0 -1
31.67, 90, 1 1 2
31.84, 91, 1 1 -3
34.46, 55, 0 2 0
43.72, 43, 0 2 3
46.84, 65, 2 2 -1
54.53, 35, 1 1 5
55.46, 30, 3 1 -4